[1]
Starting from DFT lattice parameters and positions (PBE), the PXRD pattern of Mn5ZnS8 was calculated for copper Kα.

Main lines, low angle first (10 to 90 degrees two-theta):
24.8 deg, I = 34
29.2 deg, I = 100
35.4 deg, I = 48
43.7 deg, I = 13
46.5 deg, I = 48
50.9 deg, I = 90
59.7 deg, I = 12
71.3 deg, I = 17
74.8 deg, I = 13
82.2 deg, I = 12

Unit cell a=10.1544 b=10.1544 c=10.1544 alpha=90.00 beta=90.00 gamma=90.00
Space group F-43m (No. 216)
Symmetry-distinct sites (fractional):
1 Mn 0.0000 0.0000 0.0000
2 Mn 0.1236 0.1236 0.3764
3 Zn 0.2500 0.2500 0.7500
4 S 0.1164 0.1164 0.6164
5 S 0.1341 0.1341 0.1341

---

[2]
Starting from DFT lattice parameters and positions (PBE), the PXRD pattern of MnSb7 was calculated for copper Kα.

Main lines, low angle first (10 to 90 degrees two-theta):
16.3 deg, I = 3
18.8 deg, I = 1
26.7 deg, I = 1
31.4 deg, I = 2
32.9 deg, I = 100
38.1 deg, I = 50
55.0 deg, I = 34
65.6 deg, I = 39
68.9 deg, I = 11
81.6 deg, I = 5

Unit cell a=9.4366 b=9.4366 c=9.4366 alpha=90.00 beta=90.00 gamma=90.00
Space group Fm-3m (No. 225)
Symmetry-distinct sites (fractional):
1 Mn 0.0000 0.0000 0.0000
2 Sb 0.0000 0.0000 0.5000
3 Sb 0.0000 0.2500 0.2500

---

[3]
Starting from DFT lattice parameters and positions (PBE), the PXRD pattern of Mn4Sb was calculated for copper Kα.

Main lines, low angle first (10 to 90 degrees two-theta):
21.3 deg, I = 4
28.3 deg, I = 12
30.3 deg, I = 9
41.9 deg, I = 100
48.8 deg, I = 47
58.5 deg, I = 3
61.8 deg, I = 4
70.4 deg, I = 4
71.4 deg, I = 27
86.4 deg, I = 31

Unit cell a=5.9080 b=5.9080 c=3.7339 alpha=90.00 beta=90.00 gamma=90.00
Space group I4/m (No. 87)
Symmetry-distinct sites (fractional):
1 Mn 0.0894 0.3159 0.0000
2 Sb 0.0000 0.0000 0.5000

---

[4]
Starting from DFT lattice parameters and positions (PBE), the PXRD pattern of Mn3Sb5 was calculated for copper Kα.

Main lines, low angle first (10 to 90 degrees two-theta):
29.6 deg, I = 49
29.8 deg, I = 47
30.5 deg, I = 100
31.0 deg, I = 67
31.2 deg, I = 37
32.1 deg, I = 59
32.9 deg, I = 27
33.3 deg, I = 62
43.0 deg, I = 37
47.4 deg, I = 41

Unit cell a=6.3179 b=6.8782 c=9.0459 alpha=80.07 beta=70.69 gamma=83.45
Space group P-1 (No. 2)
Symmetry-distinct sites (fractional):
1 Mn 0.0204 0.3016 0.4894
2 Mn 0.2952 0.4484 0.8959
3 Mn 0.3434 0.8474 0.7236
4 Sb 0.0391 0.3235 0.1837
5 Sb 0.1041 0.1948 0.7707
6 Sb 0.2897 0.9644 0.4306
7 Sb 0.3763 0.7678 0.0112
8 Sb 0.3951 0.4837 0.3791

---

[5]
Starting from DFT lattice parameters and positions (PBE), the PXRD pattern of Mn5Sb4 was calculated for copper Kα.

Main lines, low angle first (10 to 90 degrees two-theta):
29.2 deg, I = 100
41.1 deg, I = 70
42.4 deg, I = 76
52.3 deg, I = 19
54.6 deg, I = 13
56.3 deg, I = 16
60.5 deg, I = 21
69.5 deg, I = 16
76.6 deg, I = 20
84.1 deg, I = 19

Unit cell a=4.2648 b=4.2648 c=10.9397 alpha=90.00 beta=90.00 gamma=120.00
Space group P-6m2 (No. 187)
Symmetry-distinct sites (fractional):
1 Mn 0.0000 0.0000 0.0000
2 Mn 0.3333 0.6667 0.1252
3 Mn 0.3333 0.6667 0.3755
4 Sb 0.0000 0.0000 0.2504
5 Sb 0.6667 0.3333 0.0000
6 Sb 0.6667 0.3333 0.5000

---

[6]
Starting from DFT lattice parameters and positions (PBE), the PXRD pattern of MnSb3 was calculated for copper Kα.

Main lines, low angle first (10 to 90 degrees two-theta):
30.1 deg, I = 20
30.4 deg, I = 40
31.9 deg, I = 44
32.2 deg, I = 52
34.0 deg, I = 100
36.6 deg, I = 43
37.0 deg, I = 40
41.4 deg, I = 25
43.0 deg, I = 27
59.6 deg, I = 26

Unit cell a=6.6631 b=8.6566 c=6.5501 alpha=90.00 beta=90.00 gamma=90.00
Space group Pnma (No. 62)
Symmetry-distinct sites (fractional):
1 Mn 0.1400 0.2500 0.0304
2 Sb 0.0177 0.2500 0.6317
3 Sb 0.1949 0.5674 0.8534